# 1
For In3Hg3S, DFT lattice parameters and positions (GGA-PBE) gives the computed powder diffraction line list in this record (a wavelength of 1.5418 Å).

Main lines, most intense first (10° ≤ 2θ ≤ 90°):
d = 2.999 Å, I 100
d = 3.209 Å, I 58
d = 2.059 Å, I 54
d = 3.175 Å, I 52
d = 2.828 Å, I 41
d = 2.180 Å, I 40

Atomic structure:
a = 11.348 Å, b = 11.681 Å, c = 5.998 Å
α = 90.00°, β = 90.00°, γ = 90.00°
Atoms (fractional coordinates):
1 In 0.066 0.156 0.000
2 In 0.114 0.619 0.000
3 In 0.132 0.926 0.500
4 In 0.368 0.426 0.000
5 In 0.386 0.119 0.500
6 In 0.434 0.656 0.500
7 In 0.566 0.344 0.500
8 In 0.614 0.881 0.500
9 In 0.632 0.574 0.000
10 In 0.868 0.074 0.500
11 In 0.886 0.381 0.000
12 In 0.934 0.844 0.000
13 Hg 0.119 0.205 0.500
14 Hg 0.129 0.647 0.500
15 Hg 0.215 0.917 0.000
16 Hg 0.285 0.417 0.500
17 Hg 0.371 0.147 0.000
18 Hg 0.381 0.705 0.000
19 Hg 0.619 0.295 0.000
20 Hg 0.629 0.853 0.000
21 Hg 0.715 0.583 0.500
22 Hg 0.785 0.083 0.000
23 Hg 0.871 0.353 0.500
24 Hg 0.881 0.795 0.500
25 S 0.129 0.390 0.000
26 S 0.371 0.890 0.500
27 S 0.629 0.110 0.500
28 S 0.871 0.610 0.000



# 2
For Pr4TlGaO, DFT lattice parameters and positions (GGA-PBE) gives the computed powder diffraction line list in this record (a wavelength of 1.5418 Å).

Main lines, most intense first (10° ≤ 2θ ≤ 90°):
d = 3.160 Å, I 100
d = 2.658 Å, I 87
d = 2.407 Å, I 72
d = 1.835 Å, I 38
d = 2.836 Å, I 34
d = 2.779 Å, I 31

Atomic structure:
a = 9.163 Å, b = 9.163 Å, c = 6.814 Å
α = 90.00°, β = 90.00°, γ = 136.43°
Atoms (fractional coordinates):
1 Pr 0.000 0.500 0.000
2 Pr 0.000 0.500 0.500
3 Pr 0.060 0.940 0.750
4 Pr 0.420 0.580 0.750
5 Pr 0.500 0.000 0.000
6 Pr 0.500 0.000 0.500
7 Pr 0.580 0.420 0.250
8 Pr 0.940 0.060 0.250
9 Tl 0.391 0.609 0.250
10 Tl 0.609 0.391 0.750
11 Ga 0.119 0.881 0.250
12 Ga 0.881 0.119 0.750
13 O 0.272 0.728 0.750
14 O 0.728 0.272 0.250



# 3
For Hf5Ta2H12, DFT lattice parameters and positions (GGA-PBE) gives the computed powder diffraction line list in this record (a wavelength of 1.5418 Å).

Main lines, most intense first (10° ≤ 2θ ≤ 90°):
d = 2.804 Å, I 100
d = 2.875 Å, I 82
d = 2.461 Å, I 64
d = 2.547 Å, I 52
d = 2.434 Å, I 45
d = 2.826 Å, I 43

Atomic structure:
a = 5.864 Å, b = 5.864 Å, c = 6.527 Å
α = 101.08°, β = 101.08°, γ = 56.60°
Atoms (fractional coordinates):
1 Hf 0.000 0.000 0.000
2 Hf 0.282 0.282 0.671
3 Hf 0.330 0.330 0.135
4 Hf 0.670 0.670 0.865
5 Hf 0.718 0.718 0.329
6 Ta 0.245 0.755 0.500
7 Ta 0.755 0.245 0.500
8 H 0.053 0.053 0.327
9 H 0.076 0.595 0.907
10 H 0.121 0.508 0.404
11 H 0.405 0.924 0.093
12 H 0.479 0.479 0.698
13 H 0.492 0.879 0.596
14 H 0.508 0.121 0.404
15 H 0.521 0.521 0.302
16 H 0.595 0.076 0.907
17 H 0.879 0.492 0.596
18 H 0.924 0.405 0.093
19 H 0.947 0.947 0.673



# 4
For Li2BeSiO4, DFT lattice parameters and positions (GGA-PBE) gives the computed powder diffraction line list in this record (a wavelength of 1.5418 Å).

Main lines, most intense first (10° ≤ 2θ ≤ 90°):
d = 3.763 Å, I 100
d = 3.878 Å, I 92
d = 2.621 Å, I 66
d = 2.377 Å, I 62
d = 2.295 Å, I 47
d = 2.496 Å, I 44

Atomic structure:
a = 4.753 Å, b = 4.991 Å, c = 7.778 Å
α = 90.00°, β = 127.64°, γ = 90.00°
Atoms (fractional coordinates):
1 Li 0.000 0.165 0.000
2 Li 0.000 0.835 0.500
3 Li 0.747 0.325 0.247
4 Li 0.747 0.675 0.747
5 Be 0.488 0.181 0.499
6 Be 0.488 0.819 0.999
7 Si 0.239 0.320 0.750
8 Si 0.239 0.680 0.250
9 O 0.176 0.201 0.531
10 O 0.176 0.799 0.031
11 O 0.360 0.363 0.282
12 O 0.360 0.637 0.782
13 O 0.543 0.140 0.965
14 O 0.543 0.860 0.465
15 O 0.862 0.299 0.718
16 O 0.862 0.701 0.218



Q: Which formula does entry 3 have?
A: Hf5Ta2H12



Q: Which formula does entry 3 have?
A: Hf5Ta2H12